[1]
For Li10FeNi9O20, a PBE+U-relaxed structure gives the computed X-ray powder pattern in this record (copper Kα).

The 6 most intense peaks (5° ≤ 2θ ≤ 70°), low angle first:
2θ 18.5, rel. 100.0
2θ 36.0, rel. 15.2
2θ 36.4, rel. 13.7
2θ 43.6, rel. 24.9
2θ 44.1, rel. 23.7
2θ 44.4, rel. 23.4

Structure:
Cell lengths 6.4852, 7.6739, 7.6938 Å; angles 65.43, 89.20, 89.61 degrees
Atoms (fractional coordinates):
Li (0.0000, 0.0000, 0.0000)
Li (0.0958, 0.4036, 0.9013)
Li (0.1991, 0.8001, 0.8001)
Li (0.3018, 0.2054, 0.7038)
Li (0.3975, 0.6003, 0.5971)
Li (0.5000, 0.0000, 0.5000)
Li (0.6025, 0.3997, 0.4029)
Li (0.6982, 0.7946, 0.2962)
Li (0.8009, 0.1999, 0.1999)
Li (0.9042, 0.5964, 0.0987)
Fe (0.5000, 0.5000, 0.0000)
Ni (0.0000, 0.5000, 0.5000)
Ni (0.1007, 0.8991, 0.4015)
Ni (0.1976, 0.2987, 0.2998)
Ni (0.2997, 0.6995, 0.2019)
Ni (0.3991, 0.0969, 0.1010)
Ni (0.6009, 0.9031, 0.8990)
Ni (0.7003, 0.3005, 0.7981)
Ni (0.8024, 0.7013, 0.7002)
Ni (0.8993, 0.1009, 0.5985)
O (0.0142, 0.7530, 0.2665)
O (0.0946, 0.6674, 0.6264)
O (0.1095, 0.1264, 0.1712)
O (0.1735, 0.0458, 0.5428)
O (0.2048, 0.5482, 0.0550)
O (0.2762, 0.4528, 0.4475)
O (0.3174, 0.9541, 0.9636)
O (0.3771, 0.8547, 0.3517)
O (0.4102, 0.3498, 0.8532)
O (0.4880, 0.2414, 0.2365)
O (0.5120, 0.7586, 0.7635)
O (0.5898, 0.6502, 0.1468)
O (0.6229, 0.1453, 0.6483)
O (0.6826, 0.0459, 0.0364)
O (0.7238, 0.5472, 0.5525)
O (0.7952, 0.4518, 0.9450)
O (0.8265, 0.9542, 0.4572)
O (0.8905, 0.8736, 0.8288)
O (0.9054, 0.3326, 0.3736)
O (0.9858, 0.2470, 0.7335)

=====

[2]
For Li4FeNi5O12, a PBE+U-relaxed structure gives the computed X-ray powder pattern in this record (copper Kα).

The 6 most intense peaks (5° ≤ 2θ ≤ 70°), low angle first:
2θ 17.8, rel. 100.0
2θ 35.8, rel. 9.1
2θ 37.4, rel. 15.2
2θ 39.9, rel. 9.0
2θ 40.6, rel. 9.8
2θ 45.9, rel. 9.4

Structure:
Cell lengths 4.9358, 4.9454, 9.9590 Å; angles 90.31, 91.01, 118.91 degrees
Atoms (fractional coordinates):
Li (0.0000, 0.0000, 0.0000)
Li (0.2024, 0.1967, 0.5032)
Li (0.4938, 0.4980, 0.0014)
Li (0.6986, 0.7031, 0.5016)
Fe (0.3515, 0.8498, 0.7518)
Ni (0.0170, 0.1855, 0.7512)
Ni (0.1814, 0.0134, 0.2516)
Ni (0.5112, 0.6835, 0.2513)
Ni (0.6854, 0.5143, 0.7517)
Ni (0.8492, 0.3453, 0.2515)
O (0.0232, 0.5203, 0.8486)
O (0.0250, 0.8756, 0.6430)
O (0.1725, 0.3144, 0.1439)
O (0.1793, 0.6805, 0.3455)
O (0.3260, 0.1762, 0.8611)
O (0.3773, 0.5246, 0.6412)
O (0.5012, 0.3496, 0.3527)
O (0.5125, 0.0172, 0.1575)
O (0.6753, 0.8224, 0.8610)
O (0.6785, 0.1793, 0.6543)
O (0.8439, 0.6957, 0.1501)
O (0.8818, 0.0204, 0.3593)

=====

[3]
For Li2Fe3NiO8, a PBE+U-relaxed structure gives the computed X-ray powder pattern in this record (copper Kα).

The 6 most intense peaks (5° ≤ 2θ ≤ 70°), low angle first:
2θ 18.5, rel. 93.7
2θ 19.6, rel. 100.0
2θ 19.9, rel. 52.8
2θ 36.0, rel. 62.6
2θ 36.3, rel. 62.0
2θ 45.3, rel. 58.6

Structure:
Cell lengths 5.8450, 5.8450, 9.6013 Å; angles 90.06, 90.06, 118.77 degrees
Atoms (fractional coordinates):
Li (0.0044, 0.9956, 0.5000)
Li (0.3284, 0.6696, 0.8894)
Li (0.6696, 0.3284, 0.3894)
Li (0.9956, 0.0044, 0.0000)
Fe (0.1680, 0.3381, 0.2166)
Fe (0.1676, 0.8296, 0.2131)
Fe (0.3381, 0.1680, 0.7166)
Fe (0.6598, 0.8307, 0.2161)
Fe (0.8296, 0.1676, 0.7131)
Fe (0.8307, 0.6598, 0.7161)
Ni (0.3355, 0.6622, 0.4900)
Ni (0.6622, 0.3355, 0.9900)
O (0.0127, 0.9859, 0.3150)
O (0.0381, 0.5056, 0.3369)
O (0.1615, 0.8340, 0.6113)
O (0.1746, 0.3157, 0.6034)
O (0.3157, 0.1746, 0.1034)
O (0.3168, 0.6799, 0.1025)
O (0.4842, 0.5177, 0.3312)
O (0.4871, 0.9593, 0.3354)
O (0.5056, 0.0381, 0.8369)
O (0.5177, 0.4842, 0.8312)
O (0.6799, 0.3168, 0.6025)
O (0.6840, 0.8289, 0.6035)
O (0.8289, 0.6840, 0.1035)
O (0.8340, 0.1615, 0.1113)
O (0.9593, 0.4871, 0.8354)
O (0.9859, 0.0127, 0.8150)

=====

[4]
For Li5Fe3Ni2P6O24, a PBE+U-relaxed structure gives the computed X-ray powder pattern in this record (copper Kα).

The 6 most intense peaks (5° ≤ 2θ ≤ 70°), low angle first:
2θ 20.3, rel. 100.0
2θ 24.0, rel. 57.3
2θ 24.2, rel. 56.5
2θ 24.3, rel. 58.2
2θ 33.1, rel. 44.8
2θ 35.5, rel. 66.0

Structure:
Cell lengths 8.4066, 8.4991, 8.5155 Å; angles 61.96, 62.34, 62.31 degrees
Atoms (fractional coordinates):
Li (0.0000, 0.0000, 0.0000)
Li (0.0187, 0.8308, 0.3435)
Li (0.3457, 0.0139, 0.8377)
Li (0.8327, 0.3421, 0.0217)
Li (0.9122, 0.3015, 0.5177)
Fe (0.3057, 0.3072, 0.3062)
Fe (0.5136, 0.5180, 0.5164)
Fe (0.8071, 0.8116, 0.8150)
Ni (0.1663, 0.1580, 0.1599)
Ni (0.6523, 0.6622, 0.6653)
P (0.1063, 0.4129, 0.6998)
P (0.2169, 0.9097, 0.6140)
P (0.4153, 0.7030, 0.1199)
P (0.6053, 0.2147, 0.9207)
P (0.7131, 0.1223, 0.4197)
P (0.9126, 0.6133, 0.2154)
O (0.0522, 0.8436, 0.6617)
O (0.0604, 0.4092, 0.2343)
O (0.1134, 0.3503, 0.5529)
O (0.1217, 0.2529, 0.8884)
O (0.1910, 0.9744, 0.7641)
O (0.2143, 0.0727, 0.4213)
O (0.2549, 0.8935, 0.1261)
O (0.2659, 0.4952, 0.6171)
O (0.3432, 0.5492, 0.1590)
O (0.4080, 0.2247, 0.0761)
O (0.4129, 0.7526, 0.5873)
O (0.5132, 0.6401, 0.2607)
O (0.5368, 0.1816, 0.3693)
O (0.5542, 0.7420, 0.9112)
O (0.5904, 0.4076, 0.7563)
O (0.6501, 0.0525, 0.8559)
O (0.6923, 0.2623, 0.4992)
O (0.7384, 0.9160, 0.5625)
O (0.7582, 0.1857, 0.9871)
O (0.7599, 0.5835, 0.4173)
O (0.8490, 0.6572, 0.0530)
O (0.8997, 0.1162, 0.2510)
O (0.9021, 0.5596, 0.7460)
O (0.9793, 0.7638, 0.1864)

=====

[5]
For Li4Fe3NiP4O16, a PBE+U-relaxed structure gives the computed X-ray powder pattern in this record (copper Kα).

The 6 most intense peaks (5° ≤ 2θ ≤ 70°), low angle first:
2θ 17.1, rel. 40.3
2θ 20.6, rel. 65.0
2θ 25.3, rel. 100.0
2θ 29.5, rel. 80.2
2θ 35.3, rel. 58.6
2θ 35.5, rel. 56.7

Structure:
Cell lengths 4.7419, 6.0638, 10.3725 Å; angles 90.00, 90.32, 90.00 degrees
Atoms (fractional coordinates):
Li (0.0000, 0.2494, 0.0000)
Li (0.0000, 0.7506, 0.0000)
Li (0.4994, 0.2514, 0.4946)
Li (0.4994, 0.7486, 0.4946)
Fe (0.0255, 0.0000, 0.7158)
Fe (0.4757, 0.0000, 0.2177)
Fe (0.5236, 0.5000, 0.7781)
Ni (0.9821, 0.5000, 0.2759)
P (0.0789, 0.5000, 0.5894)
P (0.4180, 0.5000, 0.0945)
P (0.5832, 0.0000, 0.9032)
P (0.9161, 0.0000, 0.4023)
O (0.1983, 0.5000, 0.4500)
O (0.2153, 0.2970, 0.6608)
O (0.2153, 0.7030, 0.6608)
O (0.2406, 0.0000, 0.4006)
O (0.2591, 0.0000, 0.9006)
O (0.2799, 0.2977, 0.1650)
O (0.2799, 0.7023, 0.1650)
O (0.2965, 0.5000, 0.9552)
O (0.7067, 0.0000, 0.0423)
O (0.7164, 0.2039, 0.8328)
O (0.7164, 0.7961, 0.8328)
O (0.7427, 0.5000, 0.0993)
O (0.7553, 0.5000, 0.5933)
O (0.7818, 0.2060, 0.3325)
O (0.7818, 0.7940, 0.3325)
O (0.7927, 0.0000, 0.5409)

=====

[6]
For Li4FeNi5P6O24, a PBE+U-relaxed structure gives the computed X-ray powder pattern in this record (copper Kα).

The 6 most intense peaks (5° ≤ 2θ ≤ 70°), low angle first:
2θ 20.2, rel. 100.0
2θ 24.1, rel. 48.3
2θ 24.3, rel. 32.2
2θ 33.6, rel. 31.5
2θ 35.3, rel. 61.4
2θ 55.2, rel. 36.5

Structure:
Cell lengths 8.3310, 8.3960, 8.4104 Å; angles 63.25, 63.44, 63.58 degrees
Atoms (fractional coordinates):
Li (0.0000, 0.0000, 0.0000)
Li (0.1028, 0.8818, 0.5013)
Li (0.2101, 0.3809, 0.4102)
Li (0.6199, 0.5905, 0.7904)
Fe (0.2064, 0.5857, 0.9968)
Ni (0.0009, 0.3828, 0.7936)
Ni (0.3632, 0.7387, 0.1421)
Ni (0.4980, 0.8807, 0.2901)
Ni (0.7133, 0.0926, 0.5019)
Ni (0.8489, 0.2388, 0.6440)
P (0.1046, 0.1810, 0.1972)
P (0.3033, 0.9850, 0.6912)
P (0.4114, 0.4831, 0.5910)
P (0.6047, 0.2840, 0.0984)
P (0.7979, 0.7883, 0.8966)
P (0.9078, 0.6906, 0.3955)
O (0.0355, 0.2110, 0.0429)
O (0.1041, 0.1394, 0.7173)
O (0.1091, 0.6616, 0.2396)
O (0.1759, 0.3407, 0.1564)
O (0.2535, 0.4148, 0.6214)
O (0.2541, 0.9825, 0.2195)
O (0.2847, 0.8308, 0.8932)
O (0.3186, 0.9193, 0.5414)
O (0.3683, 0.5520, 0.7531)
O (0.4090, 0.6483, 0.4032)
O (0.4519, 0.4854, 0.0745)
O (0.4670, 0.0460, 0.6464)
O (0.5352, 0.1284, 0.1336)
O (0.6040, 0.8086, 0.0488)
O (0.6062, 0.3346, 0.5766)
O (0.6720, 0.2485, 0.2540)
O (0.7449, 0.7368, 0.3327)
O (0.7562, 0.3043, 0.8983)
O (0.8064, 0.9769, 0.7348)
O (0.8280, 0.6322, 0.8292)
O (0.8942, 0.8413, 0.4589)
O (0.9238, 0.4903, 0.5481)
O (0.9584, 0.1651, 0.3969)
O (0.9609, 0.7443, 0.9679)